Starting from a structure optimized by DFT (PBE), the powder diffraction line list of RbCu2H3Se2O10 was computed for Cu Kα.
Kinematic intensities with the Lorentz-polarization factor, no thermal factor.

Structure:
```
18
Lattice="4.6536 -3.3019 0.0000 4.6536 3.3019 0.0000 -3.7358 0.0000 7.4419" Properties=species:S:1:pos:R:3 pbc="T T T"
Rb 0.0000 0.0000 0.0000
Cu 0.4589 1.6510 3.7210
Cu 0.4589 -1.6510 3.7210
H -1.8679 0.0000 3.7210
H -0.7991 0.0000 5.1596
H 6.3706 0.0000 2.2823
Se 3.1816 0.0000 1.6829
Se 2.3899 0.0000 5.7591
O -0.7238 0.0000 4.1794
O 1.5007 1.3942 5.3433
O 2.9564 0.0000 0.0518
O 1.7219 0.0000 2.5069
O 4.0708 1.3942 2.0987
O 1.5007 -1.3942 5.3433
O 3.8496 0.0000 4.9350
O 2.6151 0.0000 7.3901
O 4.0708 -1.3942 2.0987
O 6.2953 0.0000 3.2625
```

Top 10 peaks for 2θ = 15–90°, by angle:
d 4.942, I 40
d 3.725, I 43
d 3.522, I 100
d 3.088, I 59
d 3.018, I 56
d 2.800, I 49
d 2.687, I 97
d 2.586, I 33
d 1.861, I 34
d 1.792, I 52